Diffraction record for Ce2ZrSc4. The powder diffractogram is calculated, not measured: it uses a PBE-relaxed structure and Cu Kα X-rays.

Top 8 peaks for 2θ from 10° to 80°, sorted by position:
(hkl), 2θ/deg, I_rel
1 0 0, 12.6, 100
1 1 -1, 31.4, 99
2 0 1, 33.5, 76
1 0 -3, 33.7, 76
3 0 -2, 34.3, 71
2 1 -1, 36.4, 91
0 1 2, 38.4, 63
1 1 2, 44.5, 51

Crystal structure
```
data_Ce2ZrSc4
_cell_length_a 8.012
_cell_length_b 3.127
_cell_length_c 8.078
_cell_angle_alpha 90.00
_cell_angle_beta 118.75
_cell_angle_gamma 90.00
_symmetry_space_group_name_H-M 'P 1 2/m 1'
_symmetry_Int_Tables_number 10
loop_
_symmetry_equiv_pos_as_xyz
'x,y,z'
'-x,-y,-z'
'-x,y,-z'
'x,-y,z'
loop_
_atom_site_label
_atom_site_fract_x
_atom_site_fract_y
_atom_site_fract_z
Ce1 0.123 0.000 0.200
Zr1 0.000 0.500 0.500
Sc1 0.289 0.500 0.936
Sc2 0.408 0.000 0.657
```

Diffraction record for Sb2TePt. The powder diffractogram is calculated, not measured: it uses a PBE-relaxed structure and Cu Kα X-rays.

Top 8 peaks for 2θ from 10° to 80°, sorted by position:
(hkl), 2θ/deg, I_rel
0 0 2, 15.0, 33
1 1 2, 26.2, 59
2 1 0, 31.2, 28
1 1 3, 31.3, 100
2 1 1, 32.1, 32
2 2 0, 43.6, 71
3 0 3, 45.9, 45
0 0 6, 46.1, 22

Crystal structure
```
data_Sb2TePt
_cell_length_a 6.868
_cell_length_b 5.211
_cell_length_c 11.815
_cell_angle_alpha 90.00
_cell_angle_beta 90.00
_cell_angle_gamma 90.00
_symmetry_space_group_name_H-M 'P n n a'
_symmetry_Int_Tables_number 52
loop_
_symmetry_equiv_pos_as_xyz
'x,y,z'
'-x,-y,-z'
'-x+1/2,-y,z'
'x+1/2,y,-z'
'x,-y+1/2,-z+1/2'
'-x,y+1/2,z+1/2'
'-x+1/2,y+1/2,-z+1/2'
'x+1/2,-y+1/2,z+1/2'
loop_
_atom_site_label
_atom_site_fract_x
_atom_site_fract_y
_atom_site_fract_z
Sb1 0.076 0.209 0.071
Te1 0.031 0.250 0.750
Pt1 0.250 0.000 0.594
```

Diffraction record for Dy2TaB2Ru5. The powder diffractogram is calculated, not measured: it uses a PBE-relaxed structure and Cu Kα X-rays.

Top 8 peaks for 2θ from 10° to 80°, sorted by position:
(hkl), 2θ/deg, I_rel
2 1 1, 35.4, 64
4 1 0, 38.3, 63
2 2 1, 39.0, 38
3 1 1, 41.3, 100
4 2 0, 41.7, 38
3 2 1, 44.5, 20
6 0 1, 65.0, 19
4 1 2, 72.7, 19

Crystal structure
```
data_Dy2TaB2Ru5
_cell_length_a 9.685
_cell_length_b 9.685
_cell_length_c 3.125
_cell_angle_alpha 90.00
_cell_angle_beta 90.00
_cell_angle_gamma 90.00
_symmetry_space_group_name_H-M 'P 4/m b m'
_symmetry_Int_Tables_number 127
_symmetry_space_group_name_Hall '-P 4 2ab'
loop_
_atom_site_label
_atom_site_fract_x
_atom_site_fract_y
_atom_site_fract_z
Dy1 0.175 0.325 0.000
Ta1 0.000 0.000 0.000
B1 0.120 0.620 0.000
Ru1 0.000 0.500 0.500
Ru2 0.071 0.782 0.500
```